Entry 1:
Structure and simulated X-ray diffraction stick pattern of Na2VNiF7 (a DFT-relaxed cell (GGA+U, the Materials Project); Cu Kα).
Peak positions follow from Bragg's law for the DFT cell and can differ from measured ones.

Principal peaks in the range 2θ = 10–90°, by intensity:
2θ (°), I/Imax
29.2, 100
29.7, 88
49.1, 85
14.5, 67
57.8, 36
28.4, 34
16.9, 28
49.7, 24
24.0, 24
58.7, 23

Structure:
Lattice parameters (Å, degrees): 7.419 7.419 7.419 120.74 90.24 119.00
Sites, in units of the cell vectors:
Na  0.000  0.000  0.000
Na  0.500  0.000  0.000
Na  0.500  0.000  0.500
Na  0.500  0.500  0.500
V  0.000  0.500  0.500
V  0.500  0.500  0.000
Ni  0.000  0.000  0.500
Ni  0.000  0.500  0.000
F  0.054  0.236  0.416
F  0.054  0.638  0.818
F  0.100  0.850  0.250
F  0.320  0.236  0.682
F  0.320  0.638  0.084
F  0.323  0.731  0.592
F  0.361  0.269  0.092
F  0.639  0.731  0.908
F  0.677  0.269  0.408
F  0.680  0.362  0.916
F  0.680  0.764  0.318
F  0.900  0.150  0.750
F  0.946  0.362  0.182
F  0.946  0.764  0.584

Entry 2:
Structure and simulated X-ray diffraction stick pattern of Na3V2P2O10F (a DFT-relaxed cell (GGA+U, the Materials Project); Cu Kα).
Peak positions follow from Bragg's law for the DFT cell and can differ from measured ones.

Principal peaks in the range 2θ = 10–90°, by intensity:
2θ (°), I/Imax
27.5, 100
32.3, 96
16.7, 95
32.4, 90
16.0, 66
56.8, 43
39.3, 40
44.2, 28
28.8, 25
28.6, 23

Structure:
Lattice parameters (Å, degrees): 6.480 6.482 10.634 89.73 89.69 89.93
Sites, in units of the cell vectors:
Na  0.000  0.000  0.000
Na  0.010  0.547  0.498
Na  0.444  0.983  0.501
Na  0.495  0.496  0.500
Na  0.518  0.007  0.997
Na  0.944  0.481  0.001
V  0.262  0.727  0.801
V  0.263  0.728  0.199
V  0.764  0.227  0.301
V  0.765  0.228  0.698
P  0.256  0.236  0.750
P  0.257  0.235  0.249
P  0.756  0.736  0.250
P  0.757  0.735  0.749
O  0.068  0.235  0.338
O  0.069  0.239  0.660
O  0.251  0.424  0.840
O  0.254  0.425  0.161
O  0.257  0.041  0.837
O  0.260  0.043  0.162
O  0.265  0.723  0.356
O  0.270  0.727  0.643
O  0.449  0.234  0.337
O  0.450  0.237  0.664
O  0.567  0.735  0.838
O  0.569  0.738  0.161
O  0.752  0.923  0.340
O  0.755  0.924  0.660
O  0.756  0.542  0.337
O  0.759  0.543  0.662
O  0.766  0.220  0.856
O  0.771  0.226  0.144
O  0.948  0.735  0.837
O  0.950  0.737  0.163
F  0.251  0.740  0.000
F  0.752  0.241  0.500

Entry 3:
Structure and simulated X-ray diffraction stick pattern of Na3V2P2O10F (a DFT-relaxed cell (GGA+U, the Materials Project); Cu Kα).
Peak positions follow from Bragg's law for the DFT cell and can differ from measured ones.

Principal peaks in the range 2θ = 10–90°, by intensity:
2θ (°), I/Imax
27.5, 100
32.3, 96
16.7, 95
32.4, 90
16.0, 66
56.8, 43
39.3, 40
44.2, 28
28.8, 25
28.6, 23

Structure:
Lattice parameters (Å, degrees): 6.480 6.482 10.634 89.73 89.69 89.93
Sites, in units of the cell vectors:
Na  0.000  0.000  0.000
Na  0.010  0.547  0.498
Na  0.444  0.983  0.501
Na  0.495  0.496  0.500
Na  0.518  0.007  0.997
Na  0.944  0.481  0.001
V  0.262  0.727  0.801
V  0.263  0.728  0.199
V  0.764  0.227  0.301
V  0.765  0.228  0.698
P  0.256  0.236  0.750
P  0.257  0.235  0.249
P  0.756  0.736  0.250
P  0.757  0.735  0.749
O  0.068  0.235  0.338
O  0.069  0.239  0.660
O  0.251  0.424  0.840
O  0.254  0.425  0.161
O  0.257  0.041  0.837
O  0.260  0.043  0.162
O  0.265  0.723  0.356
O  0.270  0.727  0.643
O  0.449  0.234  0.337
O  0.450  0.237  0.664
O  0.567  0.735  0.838
O  0.569  0.738  0.161
O  0.752  0.923  0.340
O  0.755  0.924  0.660
O  0.756  0.542  0.337
O  0.759  0.543  0.662
O  0.766  0.220  0.856
O  0.771  0.226  0.144
O  0.948  0.735  0.837
O  0.950  0.737  0.163
F  0.251  0.740  0.000
F  0.752  0.241  0.500

Entry 4:
Structure and simulated X-ray diffraction stick pattern of NaV2O4F (a DFT-relaxed cell (GGA+U, the Materials Project); Cu Kα).
Peak positions follow from Bragg's law for the DFT cell and can differ from measured ones.

Principal peaks in the range 2θ = 10–90°, by intensity:
2θ (°), I/Imax
17.7, 100
29.8, 61
33.6, 56
29.4, 50
24.7, 47
47.7, 38
23.8, 30
48.7, 27
35.8, 25
30.5, 23

Structure:
Lattice parameters (Å, degrees): 3.814 5.018 11.224 90.00 90.00 90.00
Sites, in units of the cell vectors:
Na  0.000  0.140  0.000
Na  0.500  0.860  0.500
V  0.000  0.390  0.351
V  0.000  0.419  0.658
V  0.500  0.581  0.158
V  0.500  0.610  0.851
O  0.000  0.062  0.372
O  0.000  0.506  0.826
O  0.000  0.516  0.185
O  0.000  0.547  0.511
O  0.500  0.453  0.011
O  0.500  0.484  0.685
O  0.500  0.494  0.326
O  0.500  0.938  0.872
F  0.000  0.051  0.634
F  0.500  0.949  0.134

Entry 5:
Structure and simulated X-ray diffraction stick pattern of Na2VOF4 (a DFT-relaxed cell (GGA+U, the Materials Project); Cu Kα).
Peak positions follow from Bragg's law for the DFT cell and can differ from measured ones.

Principal peaks in the range 2θ = 10–90°, by intensity:
2θ (°), I/Imax
17.0, 100
30.9, 87
19.0, 58
29.0, 58
26.9, 52
43.3, 48
50.4, 46
23.6, 44
37.5, 38
41.4, 33

Structure:
Lattice parameters (Å, degrees): 8.296 8.296 6.852 102.91 102.91 78.16
Sites, in units of the cell vectors:
Na  0.000  0.206  0.125
Na  0.000  0.794  0.875
Na  0.206  0.000  0.625
Na  0.238  0.431  0.967
Na  0.431  0.238  0.467
Na  0.569  0.762  0.533
Na  0.762  0.569  0.033
Na  0.794  0.000  0.375
V  0.129  0.601  0.417
V  0.399  0.871  0.083
V  0.601  0.129  0.917
V  0.871  0.399  0.583
O  0.316  0.655  0.488
O  0.345  0.684  0.012
O  0.655  0.316  0.988
O  0.684  0.345  0.512
F  0.003  0.815  0.538
F  0.036  0.657  0.151
F  0.112  0.509  0.656
F  0.185  0.997  0.962
F  0.204  0.372  0.273
F  0.343  0.964  0.349
F  0.372  0.204  0.773
F  0.491  0.888  0.844
F  0.509  0.112  0.156
F  0.628  0.796  0.227
F  0.657  0.036  0.651
F  0.796  0.628  0.727
F  0.815  0.003  0.038
F  0.888  0.491  0.344
F  0.964  0.343  0.849
F  0.997  0.185  0.462